This entry pairs a crystal structure of La2CuO4 with its simulated powder diffraction line list. Radiation: Cu Kα (λ = 1.5418 Å). Structure: a DFT-relaxed cell (GGA-PBE, the Materials Project).
Peak positions follow from Bragg's law for the DFT cell and can differ from measured ones.

Main lines, by angle (15° ≤ 2θ ≤ 90°):
3.696 Å, intensity 21.1; 2.889 Å, intensity 100.0; 2.772 Å, intensity 31.8; 2.678 Å, intensity 31.4; 2.167 Å, intensity 20.6; 1.926 Å, intensity 30.7

Structure:
```
La2CuO4
1.0
2.678 -6.552 0.000
2.678 6.552 0.000
0.000 0.000 5.543
La Cu O
4 2 8
Cartesian
2.678 4.731 5.462 La
2.678 1.821 2.690 La
2.678 -1.821 2.853 La
2.678 -4.731 0.081 La
0.000 0.000 2.772 Cu
2.678 0.000 0.000 Cu
2.678 4.104 3.103 O
1.339 0.147 4.158 O
1.339 -0.147 1.386 O
2.678 2.448 0.331 O
2.678 -2.448 5.212 O
4.017 0.147 4.158 O
4.017 -0.147 1.386 O
2.678 -4.104 2.440 O
```